# 1
Calculated X-ray diffraction stick pattern of Tc4W3 for Cu Kα X-rays, from a GGA-PBE-relaxed structure.
Peak positions follow from Bragg's law for the DFT cell and can differ from measured ones.

Structural model:
Unit cell a=11.244 b=11.244 c=11.244 alpha=164.01 beta=164.01 gamma=22.69
Element x y z (fractional)
1 Tc 0.068 0.068 0.000
2 Tc 0.354 0.354 0.000
3 Tc 0.646 0.646 0.000
4 Tc 0.932 0.932 0.000
5 W 0.213 0.213 0.000
6 W 0.500 0.500 0.000
7 W 0.787 0.787 0.000

Main lines, sorted by position (2θ from 10° to 90°):
2θ (°)	intensity
16.08	10
31.07	6
40.65	100
40.79	50
58.62	8
59.05	17
73.87	17
74.16	34
87.99	11
88.37	6

---

# 2
Calculated X-ray diffraction stick pattern of U2CoS5 for Cu Kα X-rays, from a GGA-PBE-relaxed structure.
Peak positions follow from Bragg's law for the DFT cell and can differ from measured ones.

Structural model:
Unit cell a=7.857 b=7.857 c=6.929 alpha=96.66 beta=96.66 gamma=44.92
Element x y z (fractional)
1 U 0.095 0.687 0.916
2 U 0.313 0.905 0.584
3 U 0.687 0.095 0.416
4 U 0.905 0.313 0.084
5 Co 0.000 0.500 0.500
6 Co 0.500 0.000 0.000
7 S 0.097 0.903 0.250
8 S 0.138 0.306 0.808
9 S 0.291 0.524 0.575
10 S 0.306 0.138 0.308
11 S 0.476 0.709 0.925
12 S 0.524 0.291 0.075
13 S 0.694 0.862 0.692
14 S 0.709 0.476 0.425
15 S 0.862 0.694 0.192
16 S 0.903 0.097 0.750

Main lines, sorted by position (2θ from 10° to 90°):
2θ (°)	intensity
21.07	73
24.72	23
25.93	100
27.31	21
28.20	19
29.77	23
35.51	20
38.40	41
41.93	30
43.17	19

---

# 3
Calculated X-ray diffraction stick pattern of Ti4AlPd3 for Cu Kα X-rays, from a GGA-PBE-relaxed structure.
Peak positions follow from Bragg's law for the DFT cell and can differ from measured ones.

Structural model:
Unit cell a=11.387 b=11.387 c=4.341 alpha=100.70 beta=100.70 gamma=13.93
Element x y z (fractional)
1 Ti 0.107 0.107 0.111
2 Ti 0.232 0.232 0.233
3 Ti 0.768 0.768 0.767
4 Ti 0.893 0.893 0.889
5 Al 0.000 0.000 0.500
6 Pd 0.346 0.346 0.343
7 Pd 0.500 0.500 0.000
8 Pd 0.654 0.654 0.657

Main lines, sorted by position (2θ from 10° to 90°):
2θ (°)	intensity
23.71	42
23.81	42
24.05	30
32.25	32
38.63	35
39.51	72
41.61	57
42.04	100
42.22	31
43.44	41

---

# 4
Calculated X-ray diffraction stick pattern of Ca2CdRuN for Cu Kα X-rays, from a GGA-PBE-relaxed structure.
Peak positions follow from Bragg's law for the DFT cell and can differ from measured ones.

Structural model:
Unit cell a=5.110 b=5.110 c=3.836 alpha=90.00 beta=90.00 gamma=90.00
Element x y z (fractional)
1 Ca 0.000 0.500 0.000
2 Ca 0.500 0.000 0.000
3 Cd 0.000 0.000 0.500
4 Ru 0.500 0.500 0.500
5 N 0.500 0.500 0.000

Main lines, sorted by position (2θ from 10° to 90°):
2θ (°)	intensity
23.19	11
24.64	30
34.09	100
35.13	55
42.51	10
47.39	11
50.52	18
60.34	21
62.36	33
71.78	12

---

# 5
Calculated X-ray diffraction stick pattern of Tm2MnAl3 for Cu Kα X-rays, from a GGA-PBE-relaxed structure.
Peak positions follow from Bragg's law for the DFT cell and can differ from measured ones.

Structural model:
Unit cell a=5.404 b=5.404 c=5.404 alpha=61.39 beta=61.39 gamma=61.39
Element x y z (fractional)
1 Tm 0.126 0.126 0.126
2 Tm 0.874 0.874 0.874
3 Mn 0.500 0.500 0.500
4 Al 0.000 0.500 0.500
5 Al 0.500 0.000 0.500
6 Al 0.500 0.500 0.000

Main lines, sorted by position (2θ from 10° to 90°):
2θ (°)	intensity
19.78	56
20.34	37
32.46	100
33.17	66
38.30	32
38.61	100
39.22	43
58.36	27
62.03	25
62.47	21

---

# 6
Calculated X-ray diffraction stick pattern of Sm2Mg5Ga4 for Cu Kα X-rays, from a GGA-PBE-relaxed structure.
Peak positions follow from Bragg's law for the DFT cell and can differ from measured ones.

Structural model:
Unit cell a=9.379 b=8.069 c=6.418 alpha=79.81 beta=57.86 gamma=42.34
Element x y z (fractional)
1 Sm 0.145 0.145 0.855
2 Sm 0.855 0.855 0.145
3 Mg 0.000 0.000 0.500
4 Mg 0.250 0.250 0.250
5 Mg 0.500 0.500 0.000
6 Mg 0.500 0.500 0.500
7 Mg 0.750 0.750 0.750
8 Ga 0.237 0.463 0.537
9 Ga 0.463 0.237 0.763
10 Ga 0.537 0.763 0.237
11 Ga 0.763 0.537 0.463

Main lines, sorted by position (2θ from 10° to 90°):
2θ (°)	intensity
11.83	28
15.66	53
23.79	39
28.51	46
28.61	52
29.50	45
33.25	100
33.57	54
38.25	56
46.54	60